Record 1
Diffraction record for Ba6PaO8. The powder X-ray diffraction pattern is computed, not measured: it uses the PBE geometry in Alexandria and CuKα.

Top 10 peaks for 10 to 80 degrees two-theta, by angle:
- 24.9°, rel. 24, hkl 1 0 4
- 26.3°, rel. 52, hkl 0 2 1
- 27.5°, rel. 100, hkl 2 -1 3
- 27.9°, rel. 26, hkl 2 0 2
- 34.7°, rel. 18, hkl 2 1 1
- 36.0°, rel. 25, hkl 1 2 2
- 39.0°, rel. 26, hkl 3 0 0
- 39.4°, rel. 45, hkl 1 1 6
- 48.6°, rel. 16, hkl 3 1 2
- 52.4°, rel. 23, hkl 4 -3 4

Atomic structure:
Cell: 7.9949 7.9949 16.7258 Å, 90.00 90.00 120.00°
Space group R-3 (No. 148, hexagonal axes)
Symmetry-distinct sites (fractional):
Ba: 0.0173 0.6051 0.4124
Pa: 0.0000 0.0000 0.5000
O: 0.0000 0.0000 0.1848
O: 0.0081 0.7781 0.5769

---

Record 2
Diffraction record for La3Ho7Sc. The powder X-ray diffraction pattern is computed, not measured: it uses the PBE geometry in Alexandria and CuKα.

Top 10 peaks for 10 to 80 degrees two-theta, by angle:
- 17.8°, rel. 12, hkl 0 1 1
- 30.9°, rel. 33, hkl 0 0 3
- 31.1°, rel. 100, hkl 2 0 1
- 36.0°, rel. 69, hkl 0 2 2
- 51.7°, rel. 23, hkl 2 0 4
- 52.1°, rel. 23, hkl 2 2 0
- 61.5°, rel. 15, hkl 0 2 5
- 61.8°, rel. 27, hkl 2 2 3
- 61.9°, rel. 14, hkl 0 4 1
- 64.9°, rel. 12, hkl 4 0 2

Atomic structure:
Cell: 7.0270 7.0270 8.6857 Å, 90.00 90.00 120.00°
Space group P3m1 (No. 156)
Symmetry-distinct sites (fractional):
La: 0.0019 0.5010 0.0000
Ho: 0.1680 0.3360 0.6540
Ho: 0.3349 0.1674 0.3370
Ho: 0.6667 0.3333 0.6573
Sc: 0.3333 0.6667 0.3394

---

- What is the formula in the first record?
  Ba6PaO8